No. 1
For Ti2CuS4, the GGA-PBE geometry in the Materials Project gives the simulated powder diffractogram in this record (copper Kα).

Peak list (10 most intense, 2θ from 10° to 80°, most intense first)
2θ (°)  d (Å)  Rel. int.  hkl
29.58  3.020  100.0  3 1 1
51.63  1.770  90.1  4 4 0
25.15  3.541  41.0  2 2 0
47.15  1.927  40.8  5 1 1
35.87  2.504  39.7  4 0 0
72.50  1.304  17.3  5 5 3
44.31  2.044  16.9  4 2 2
76.02  1.252  13.1  8 0 0
60.63  1.527  11.3  5 3 3
70.35  1.338  8.0  6 4 2

Structural model:
Lattice parameters (Å, degrees): 10.0149 10.0149 10.0149 90.00 90.00 90.00
Space group Fd-3m (No. 227, origin choice 2)
Unique sites:
Ti 0.0000 0.0000 0.0000 (multiplicity 16)
Cu 0.1250 0.1250 0.6250 (multiplicity 8)
S 0.0049 0.0049 0.2451 (multiplicity 32)


No. 2
For Ti2CuS4, the GGA-PBE geometry in the Materials Project gives the simulated powder diffractogram in this record (copper Kα).

Peak list (10 most intense, 2θ from 10° to 80°, most intense first)
2θ (°)  d (Å)  Rel. int.  hkl
29.71  3.007  100.0  1 1 6
52.00  1.759  82.6  2 2 0
34.54  2.597  50.6  0 2 7
45.10  2.010  43.6  0 2 13
23.10  3.851  42.2  1 0 7
53.98  1.699  40.5  2 0 17
25.32  3.517  38.2  1 1 0
39.32  2.292  27.2  0 2 10
31.88  2.807  27.1  0 1 11
47.44  1.916  24.6  3 0 6

Structural model:
```
data_Ti2CuS4
_symmetry_space_group_name_H-M 'R -3 m'
_symmetry_Int_Tables_number 166
_symmetry_space_group_name_Hall '-R 3 2"'
_cell_length_a 7.0340
_cell_length_b 7.0340
_cell_length_c 34.7867
_cell_angle_alpha 90.00
_cell_angle_beta 90.00
_cell_angle_gamma 120.00
loop_
_atom_site_label
_atom_site_fract_x
_atom_site_fract_y
_atom_site_fract_z
_atom_site_occupancy
Ti1 0.0000 0.0000 0.0000 1
Ti2 0.0000 0.0000 0.5000 1
Ti3 0.0006 0.5003 0.4177 1
Cu1 0.0000 0.0000 0.1879 1
Cu2 0.0000 0.0000 0.3536 1
S1 0.0000 0.0000 0.1235 1
S2 0.0000 0.0000 0.2885 1
S3 0.0150 0.5075 0.7090 1
S4 0.0152 0.5076 0.1228 1
```


No. 3
For Ti2CuS4, the GGA-PBE geometry in the Materials Project gives the simulated powder diffractogram in this record (copper Kα).

Peak list (10 most intense, 2θ from 10° to 80°, most intense first)
2θ (°)  d (Å)  Rel. int.  hkl
43.95  2.060  100.0  4 2 2
33.83  2.650  56.4  2 2 2
43.14  2.097  54.2  4 4 0
16.73  5.299  51.8  1 1 1
51.50  1.774  49.6  0 6 2
32.81  2.730  29.8  2 4 0
29.82  2.996  28.6  0 2 2
53.63  1.709  21.4  0 0 4
71.17  1.325  20.8  4 4 4
27.89  3.199  19.8  3 1 1

Structural model:
```
data_Ti2CuS4
_symmetry_space_group_name_H-M 'F d d 2'
_symmetry_Int_Tables_number 43
_symmetry_space_group_name_Hall 'F 2 -2d'
_cell_length_a 11.3474
_cell_length_b 12.4560
_cell_length_c 6.8358
_cell_angle_alpha 90.00
_cell_angle_beta 90.00
_cell_angle_gamma 90.00
loop_
_atom_site_label
_atom_site_fract_x
_atom_site_fract_y
_atom_site_fract_z
_atom_site_occupancy
Ti1 0.0045 0.2454 0.0000 1
Cu1 0.0000 0.0000 0.2337 1
S1 0.1184 0.3354 0.2520 1
S2 0.1243 0.3322 0.7499 1
```